This entry pairs a crystal structure of K2S3O6 with its simulated powder diffractogram. Radiation: Cu Kα (λ = 1.5418 Å). Structure: a crystal structure in the Materials Project, relaxed with PBE.
Neutral-atom scattering factors, no anomalous dispersion.

Main lines, in order of rising 2θ (10 to 80 degrees two-theta):
(hkl)	two_theta	I (rel.)
0 1 1	16.45	648
1 1 1	18.73	583
2 1 0	23.53	454
0 1 3	24.13	911
2 1 1	24.35	777
1 1 3	25.76	658
3 0 1	27.60	807
0 2 0	30.73	1000
1 0 5	32.56	398
2 2 3	40.61	865

Structural model:
a b c (Å): 9.9543 5.8156 14.3067
angles (deg): 90.00 90.00 90.00
Space group Pnma (No. 62)
Inequivalent atoms, fractional coordinates:
K  0.1349  0.2500  0.0892 [4 per cell]
K  0.1826  0.2500  0.7647 [4 per cell]
S  0.0292  0.2500  0.3153 [4 per cell]
S  0.0863  0.2500  0.4587 [4 per cell]
S  0.2024  0.7500  0.9675 [4 per cell]
O  0.0803  0.0394  0.2711 [8 per cell]
O  0.1173  0.7500  0.6717 [4 per cell]
O  0.1487  0.5395  0.9245 [8 per cell]
O  0.1916  0.7500  0.0703 [4 per cell]

=====

This entry pairs a crystal structure of CsGdZnTe3 with its simulated powder diffractogram. Radiation: Cu Kα (λ = 1.5418 Å). Structure: a crystal structure in the Materials Project, relaxed with PBE.
Neutral-atom scattering factors, no anomalous dispersion.

Main lines, in order of rising 2θ (10 to 80 degrees two-theta):
(hkl)	two_theta	I (rel.)
0 2 0	10.41	589
0 2 3	24.86	356
1 3 0	25.20	504
1 3 1	26.32	1000
1 3 2	29.43	394
0 0 4	30.17	354
1 5 2	36.39	469
2 0 0	39.87	345
1 3 5	46.12	373
1 7 3	48.40	288

Structural model:
a b c (Å): 4.5223 16.9877 11.8496
angles (deg): 90.00 90.00 90.00
Space group Cmcm (No. 63)
Inequivalent atoms, fractional coordinates:
Cs  0.0000  0.2442  0.2500 [4 per cell]
Gd  0.0000  0.5000  0.0000 [4 per cell]
Zn  0.0000  0.0400  0.7500 [4 per cell]
Te  0.0000  0.1218  0.5587 [8 per cell]
Te  0.0000  0.4420  0.7500 [4 per cell]

=====

This entry pairs a crystal structure of LiVBi with its simulated powder diffractogram. Radiation: Cu Kα (λ = 1.5418 Å). Structure: a crystal structure in the Materials Project, relaxed with PBE.
Neutral-atom scattering factors, no anomalous dispersion.

Main lines, in order of rising 2θ (10 to 80 degrees two-theta):
(hkl)	two_theta	I (rel.)
1 1 1	24.58	710
2 0 0	28.46	1000
2 2 0	40.68	838
3 1 1	48.11	390
2 2 2	50.39	278
4 0 0	58.89	141
3 3 1	64.78	169
4 2 0	66.68	361
4 2 2	74.04	291
5 1 1	79.37	135

Structural model:
a b c (Å): 6.2729 6.2729 6.2729
angles (deg): 90.00 90.00 90.00
Space group F-43m (No. 216)
Inequivalent atoms, fractional coordinates:
Li  0.0000  0.0000  0.0000 [4 per cell]
V  0.2500  0.2500  0.2500 [4 per cell]
Bi  0.2500  0.2500  0.7500 [4 per cell]